# Dy6BiPt2Se3
Theoretical powder diffraction line list, Cu Kα X-rays. Input: a structure optimized by DFT (GGA-PBE).
Intensities are scaled so that the largest is 1000.

Principal peaks in the range 2θ = 5–70°, in order of rising 2θ:
2θ/deg, intensity
12.50, 128
25.40, 53
30.25, 1000
42.43, 122
42.53, 268
44.13, 340
51.64, 79
54.32, 50
54.49, 127
62.92, 112

Crystal structure
```
Dy6BiPt2Se3
1.0
9.229 -2.050 0.000
9.229 2.050 0.000
-2.378 0.000 8.194
Dy Bi Pt Se
6 1 2 3
Cartesian
-0.494 0.000 2.202
3.883 0.000 7.256
5.070 0.000 3.464
11.009 0.000 4.730
12.196 0.000 0.938
16.574 0.000 5.992
9.229 0.000 0.000
2.313 0.000 2.819
13.767 0.000 5.375
0.965 0.000 6.897
8.040 0.000 4.097
15.114 0.000 1.297
```